The following is a computed PXRD pattern of Na3Ge5Au2. It was derived from a cell relaxed with PBE, using Cu Kα, 1.54184 Å.

Structural model:
```
Na3Ge5Au2
1.0
-5.607 6.467 3.124
5.607 -6.467 3.124
5.607 6.467 -3.124
Na Ge Au
6 10 4
Direct
0.119 0.741 0.860 Na
0.250 0.250 0.000 Na
0.381 0.241 0.622 Na
0.619 0.759 0.378 Na
0.750 0.750 0.000 Na
0.881 0.259 0.140 Na
0.011 0.250 0.761 Ge
0.130 0.379 0.509 Ge
0.250 0.750 0.500 Ge
0.370 0.879 0.249 Ge
0.489 0.250 0.239 Ge
0.511 0.750 0.761 Ge
0.630 0.121 0.751 Ge
0.750 0.250 0.500 Ge
0.870 0.621 0.491 Ge
0.989 0.750 0.239 Ge
0.149 0.156 0.305 Au
0.351 0.656 0.007 Au
0.649 0.344 0.993 Au
0.851 0.844 0.695 Au
```

Top 6 peaks for 10° ≤ 2θ ≤ 90°, in order of rising 2θ:
two_theta	d_spacing	I/Imax
21.3	4.171	100
31.9	2.801	24
32.8	2.729	25
40.1	2.247	44
43.4	2.086	25
45.2	2.006	35

***

The following is a computed PXRD pattern of MgBeMoHW. It was derived from a cell relaxed with PBE, using Cu Kα, 1.54184 Å.

Structural model:
```
MgBeMoHW
1.0
2.747 0.000 0.000
0.000 4.335 0.000
-0.769 0.000 5.332
Mg Be Mo H W
1 1 1 1 1
Direct
0.000 0.000 0.000 Mg
0.130 0.500 0.704 Be
0.621 0.500 0.281 Mo
0.067 0.500 0.026 H
0.437 0.000 0.518 W
```

Top 6 peaks for 10° ≤ 2θ ≤ 90°, in order of rising 2θ:
two_theta	d_spacing	I/Imax
16.6	5.332	100
26.5	3.363	58
39.3	2.294	32
39.7	2.271	62
40.7	2.214	54
41.7	2.167	28

***

The following is a computed PXRD pattern of Tb2Er2Pt15. It was derived from a cell relaxed with PBE, using Cu Kα, 1.54184 Å.

Structural model:
```
Tb2Er2Pt15
1.0
4.654 2.687 4.617
-4.654 2.687 4.617
0.000 -5.374 4.617
Tb Er Pt
2 2 15
Direct
0.138 0.138 0.138 Tb
0.862 0.862 0.862 Tb
0.393 0.393 0.393 Er
0.607 0.607 0.607 Er
0.000 0.500 0.500 Pt
0.153 0.153 0.661 Pt
0.153 0.661 0.153 Pt
0.187 0.500 0.813 Pt
0.187 0.813 0.500 Pt
0.339 0.847 0.847 Pt
0.500 0.000 0.500 Pt
0.500 0.187 0.813 Pt
0.500 0.500 0.000 Pt
0.500 0.813 0.187 Pt
0.661 0.153 0.153 Pt
0.813 0.187 0.500 Pt
0.813 0.500 0.187 Pt
0.847 0.339 0.847 Pt
0.847 0.847 0.339 Pt
```

Top 6 peaks for 10° ≤ 2θ ≤ 90°, in order of rising 2θ:
two_theta	d_spacing	I/Imax
33.3	2.687	21
38.7	2.324	100
39.0	2.309	25
43.6	2.078	66
43.8	2.068	20
70.0	1.344	20

***

The following is a computed PXRD pattern of PmPb2BrO4. It was derived from a cell relaxed with PBE, using Cu Kα, 1.54184 Å.

Structural model:
```
PmPb2BrO4
1.0
4.047 0.000 0.000
0.000 4.047 0.000
0.000 0.000 9.260
Pm Pb Br O
1 2 1 4
Direct
0.000 0.000 0.000 Pm
0.500 0.500 0.266 Pb
0.500 0.500 0.734 Pb
0.000 0.000 0.500 Br
0.000 0.500 0.149 O
0.000 0.500 0.851 O
0.500 0.000 0.149 O
0.500 0.000 0.851 O
```

Top 6 peaks for 10° ≤ 2θ ≤ 90°, in order of rising 2θ:
two_theta	d_spacing	I/Imax
29.3	3.047	100
31.3	2.862	35
44.8	2.023	20
50.7	1.800	24
54.4	1.685	39
87.0	1.120	10